The following is a simulated powder diffraction line list of BaV4O8. It was derived from a PBE+U-relaxed structure, using Cu Kα.
No peak broadening, texture or thermal motion is included.

```
data_BaV4O8
_space_group_name_H-M_alt 'P -3 1 m'
_space_group_IT_number 162
_space_group_name_Hall '-P 3 2'
_cell_length_a 5.6860
_cell_length_b 5.6860
_cell_length_c 8.3026
_cell_angle_alpha 90.00
_cell_angle_beta 90.00
_cell_angle_gamma 120.00
loop_
_atom_site_label
_atom_site_fract_x
_atom_site_fract_y
_atom_site_fract_z
Ba1 0.0000 0.0000 0.0000
V1 0.3333 0.6667 0.2249
O1 0.0000 0.3634 0.2712
O2 0.3333 0.6667 0.0000
```

Largest 6 diffraction maxima, sorted by position, 10° ≤ 2θ ≤ 90°:
2θ = 10.66°, rel. 100; 2θ = 20.98°, rel. 36; 2θ = 28.11°, rel. 88; 2θ = 31.47°, rel. 68; 2θ = 33.31°, rel. 56; 2θ = 53.99°, rel. 25